(1)
Computed powder XRD pattern
Compound: Cu3TeO8
Radiation: CuKα
Structure: a structure optimized by DFT (PBE)

The 12 most intense peaks (2θ from 15° to 90°), in order of falling intensity:
| index | Position (°2θ) | intensity |
| --- | --- | --- |
| 0 3 2 | 35.38 | 100 |
| 2 0 0 | 27.56 | 92 |
| 2 0 -4 | 33.77 | 51 |
| 2 3 -2 | 37.56 | 44 |
| 1 3 2 | 42.13 | 42 |
| 1 1 -2 | 19.29 | 37 |
| 2 3 2 | 52.33 | 33 |
| 2 3 -6 | 59.97 | 32 |
| 1 2 0 | 23.67 | 29 |
| 3 0 -4 | 38.72 | 28 |
| 4 0 -4 | 47.75 | 26 |
| 1 1 -1 | 15.07 | 22 |

Cell lengths 7.7752, 9.2351, 10.7608 Å; angles 90.00, 123.63, 90.00 degrees
Space group P2_1/c (No. 14)
Unique sites:
Cu 0.0027 0.0833 0.3790 (multiplicity 4)
Cu 0.0349 0.0777 0.8860 (multiplicity 4)
Cu 0.4814 0.5815 0.6130 (multiplicity 4)
Te 0.0275 0.2410 0.1391 (multiplicity 4)
O 0.1044 0.7382 0.7441 (multiplicity 4)
O 0.1217 0.5987 0.9996 (multiplicity 4)
O 0.1276 0.0602 0.2666 (multiplicity 4)
O 0.1751 0.5899 0.5064 (multiplicity 4)
O 0.1790 0.2060 0.0487 (multiplicity 4)
O 0.2234 0.1181 0.7780 (multiplicity 4)
O 0.4683 0.6146 0.4442 (multiplicity 4)
O 0.4962 0.5595 0.7792 (multiplicity 4)

***

(2)
Computed powder XRD pattern
Compound: LaBi2C2O2
Radiation: CuKα
Structure: a structure optimized by DFT (PBE)

The 12 most intense peaks (2θ from 15° to 90°), in order of falling intensity:
| index | Position (°2θ) | intensity |
| --- | --- | --- |
| 1 0 1 | 23.42 | 100 |
| 1 0 5 | 33.86 | 93 |
| 1 1 0 | 32.59 | 74 |
| 1 1 6 | 44.62 | 65 |
| 1 0 3 | 27.31 | 64 |
| 2 1 5 | 58.97 | 39 |
| 0 0 6 | 29.63 | 38 |
| 2 0 0 | 46.76 | 34 |
| 2 0 6 | 56.34 | 26 |
| 1 0 11 | 61.20 | 26 |
| 2 1 11 | 80.40 | 25 |
| 2 1 1 | 52.94 | 24 |

Cell lengths 3.8855, 3.8855, 18.0887 Å; angles 90.00, 90.00, 90.00 degrees
Space group I4/mmm (No. 139)
Unique sites:
La 0.0000 0.0000 0.0000 (multiplicity 2)
Bi 0.0000 0.0000 0.1783 (multiplicity 4)
C 0.0000 0.0000 0.4636 (multiplicity 4)
O 0.0000 0.5000 0.2500 (multiplicity 4)

***

(3)
Computed powder XRD pattern
Compound: Ca2ScTaO6
Radiation: CuKα
Structure: a structure optimized by DFT (PBE)

The 12 most intense peaks (2θ from 15° to 90°), in order of falling intensity:
| index | Position (°2θ) | intensity |
| --- | --- | --- |
| 1 1 -3 | 31.87 | 100 |
| 1 1 -1 | 22.38 | 65 |
| 0 1 1 | 19.15 | 43 |
| 1 0 0 | 19.56 | 41 |
| 2 2 -2 | 45.65 | 28 |
| 0 2 0 | 31.32 | 25 |
| 3 1 -5 | 57.41 | 24 |
| 2 0 -2 | 32.36 | 22 |
| 2 2 -4 | 51.46 | 21 |
| 1 3 -3 | 56.09 | 18 |
| 2 1 -3 | 37.87 | 17 |
| 1 2 -2 | 37.19 | 16 |

Cell lengths 5.5334, 5.7129, 9.6687 Å; angles 90.00, 124.87, 90.00 degrees
Space group P2_1/c (No. 14)
Unique sites:
Ca 0.2372 0.0517 0.2504 (multiplicity 4)
Sc 0.5000 0.0000 0.0000 (multiplicity 2)
Ta 0.0000 0.0000 0.5000 (multiplicity 2)
O 0.1403 0.2104 0.9465 (multiplicity 4)
O 0.2413 0.6968 0.9497 (multiplicity 4)
O 0.3408 0.0329 0.7428 (multiplicity 4)

***

(4)
Computed powder XRD pattern
Compound: HoMn4Al8
Radiation: CuKα
Structure: a structure optimized by DFT (PBE)

The 12 most intense peaks (2θ from 15° to 90°), in order of falling intensity:
| index | Position (°2θ) | intensity |
| --- | --- | --- |
| 2 0 2 | 40.67 | 100 |
| 3 2 1 | 41.10 | 80 |
| 4 0 0 | 41.24 | 70 |
| 2 1 1 | 28.64 | 68 |
| 1 0 1 | 20.01 | 54 |
| 3 0 1 | 35.35 | 49 |
| 2 2 0 | 28.84 | 40 |
| 4 2 2 | 59.30 | 37 |
| 3 1 0 | 32.33 | 32 |
| 6 0 2 | 74.79 | 23 |
| 3 1 2 | 48.28 | 21 |
| 6 3 1 | 75.08 | 20 |

Cell lengths 8.7562, 8.7562, 5.1472 Å; angles 90.00, 90.00, 90.00 degrees
Space group I4/mmm (No. 139)
Unique sites:
Ho 0.0000 0.0000 0.0000 (multiplicity 2)
Mn 0.2500 0.2500 0.2500 (multiplicity 8)
Al 0.0000 0.2247 0.5000 (multiplicity 8)
Al 0.0000 0.3373 0.0000 (multiplicity 8)

***

(5)
Computed powder XRD pattern
Compound: GdTl
Radiation: CuKα
Structure: a structure optimized by DFT (PBE)

The 9 most intense peaks (2θ from 15° to 90°), in order of falling intensity:
| index | Position (°2θ) | intensity |
| --- | --- | --- |
| 1 1 0 | 32.83 | 100 |
| 2 1 1 | 58.61 | 39 |
| 2 0 0 | 47.11 | 18 |
| 3 1 0 | 78.38 | 17 |
| 2 2 0 | 68.83 | 12 |
| 2 2 2 | 87.60 | 4 |
| 1 0 0 | 23.05 | 2 |
| 2 1 0 | 53.08 | 1 |
| 1 1 1 | 40.50 | 1 |

Cell lengths 3.8582, 3.8582, 3.8582 Å; angles 90.00, 90.00, 90.00 degrees
Space group Pm-3m (No. 221)
Unique sites:
Gd 0.0000 0.0000 0.0000 (multiplicity 1)
Tl 0.5000 0.5000 0.5000 (multiplicity 1)

***

(6)
Computed powder XRD pattern
Compound: CaNdAg2
Radiation: CuKα
Structure: a structure optimized by DFT (PBE)

The 12 most intense peaks (2θ from 15° to 90°), in order of falling intensity:
| index | Position (°2θ) | intensity |
| --- | --- | --- |
| 2 2 0 | 34.01 | 100 |
| 4 2 2 | 60.88 | 35 |
| 4 0 0 | 48.87 | 17 |
| 6 2 0 | 81.69 | 15 |
| 1 1 1 | 20.64 | 14 |
| 4 4 0 | 71.60 | 11 |
| 3 1 1 | 40.12 | 8 |
| 3 3 1 | 53.59 | 4 |
| 5 1 1 | 65.01 | 3 |
| 5 3 1 | 75.44 | 3 |
| 2 0 0 | 23.87 | 1 |
| 5 3 3 | 85.39 | 1 |

Cell lengths 7.4548, 7.4548, 7.4548 Å; angles 90.00, 90.00, 90.00 degrees
Space group Fm-3m (No. 225)
Unique sites:
Ca 0.0000 0.0000 0.0000 (multiplicity 4)
Nd 0.0000 0.0000 0.5000 (multiplicity 4)
Ag 0.2500 0.2500 0.2500 (multiplicity 8)